(1)
Structure and theoretical X-ray powder pattern of Li3Mn2FeB3O9 (DFT lattice parameters and positions (GGA+U); Cu Kα, 1.54184 Å).
Neutral-atom scattering factors, no anomalous dispersion.

Lattice parameters (Å, degrees): 8.2502 3.1697 14.3151 90.00 90.05 90.00
Fractional positions:
Li (0.0000, 0.0000, 0.0000)
Li (0.0258, 0.0000, 0.2935)
Li (0.0741, 0.0000, 0.6574)
Li (0.5003, 0.0000, 0.4988)
Li (0.5264, 0.0000, 0.7918)
Li (0.5742, 0.0000, 0.1603)
Mn (0.1933, 0.5000, 0.8357)
Mn (0.2327, 0.5000, 0.1450)
Mn (0.6756, 0.5000, 0.9706)
Mn (0.7330, 0.5000, 0.6437)
Fe (0.1799, 0.5000, 0.4709)
Fe (0.6918, 0.5000, 0.3337)
B (0.3656, 0.5000, 0.6500)
B (0.3672, 0.0000, 0.9839)
B (0.3681, 0.0000, 0.3182)
B (0.8672, 0.0000, 0.8168)
B (0.8677, 0.0000, 0.4820)
B (0.8677, 0.5000, 0.1514)
O (0.0040, 0.5000, 0.2084)
O (0.0174, 0.0000, 0.8606)
O (0.0215, 0.0000, 0.5220)
O (0.2116, 0.5000, 0.6897)
O (0.2286, 0.0000, 0.0392)
O (0.2287, 0.0000, 0.3727)
O (0.3537, 0.0000, 0.8870)
O (0.3557, 0.0000, 0.2212)
O (0.3817, 0.5000, 0.5528)
O (0.5027, 0.5000, 0.7068)
O (0.5198, 0.0000, 0.0257)
O (0.5203, 0.0000, 0.3598)
O (0.7134, 0.5000, 0.1919)
O (0.7266, 0.0000, 0.8703)
O (0.7300, 0.0000, 0.5392)
O (0.8488, 0.0000, 0.3855)
O (0.8573, 0.0000, 0.7202)
O (0.8841, 0.5000, 0.0545)

Main lines, low angle first (2θ from 5° to 70°):
2θ 21.5, 4.129 Å, I 100
2θ 30.9, 2.898 Å, I 17
2θ 33.1, 2.703 Å, I 17
2θ 35.7, 2.514 Å, I 80
2θ 37.7, 2.384 Å, I 32
2θ 43.9, 2.064 Å, I 15
2θ 47.7, 1.905 Å, I 28
2θ 52.9, 1.730 Å, I 25
2θ 54.6, 1.681 Å, I 18
2θ 58.2, 1.585 Å, I 11

=====

(2)
Structure and theoretical X-ray powder pattern of Li2MnF4 (DFT lattice parameters and positions (GGA+U); Cu Kα, 1.54184 Å).
Neutral-atom scattering factors, no anomalous dispersion.

Lattice parameters (Å, degrees): 5.2369 3.2381 10.5497 90.00 112.74 90.00
Fractional positions:
Li (0.0000, 0.0357, 0.0000)
Li (0.0000, 0.9643, 0.5000)
Li (0.3168, 0.0367, 0.3483)
Li (0.3168, 0.9633, 0.8483)
Mn (0.6583, 0.4744, 0.6738)
Mn (0.6583, 0.5256, 0.1738)
F (0.4005, 0.0264, 0.0460)
F (0.4005, 0.9736, 0.5460)
F (0.4100, 0.4631, 0.7877)
F (0.4100, 0.5369, 0.2877)
F (0.8806, 0.4640, 0.5480)
F (0.8806, 0.5360, 0.0480)
F (0.9148, 0.0249, 0.3009)
F (0.9148, 0.9751, 0.8009)

Main lines, low angle first (2θ from 5° to 70°):
2θ 18.2, 4.865 Å, I 72
2θ 18.4, 4.830 Å, I 73
2θ 20.3, 4.376 Å, I 59
2θ 30.7, 2.911 Å, I 32
2θ 33.3, 2.693 Å, I 100
2θ 41.3, 2.188 Å, I 48
2θ 41.7, 2.165 Å, I 87
2θ 56.8, 1.620 Å, I 23
2θ 59.9, 1.543 Å, I 32
2θ 60.3, 1.535 Å, I 39

=====

Q: Which formula does entry 2 have?
A: Li2MnF4